Starting from DFT lattice parameters and positions (GGA-PBE), the powder diffractogram of Ba2Sr3Nb10O30 was simulated for Cu Kα.
Kinematic intensities with the Lorentz-polarization factor, no thermal factor.

Atomic structure:
Cell: 4.065 12.699 12.701 Å, 90.13 90.02 90.05°
Space group P1 (No. 1)
Asymmetric unit:
Ba  0.000  0.000  0.000
Ba  0.001  0.838  0.495
Sr  0.003  0.169  0.669
Sr  0.003  0.669  0.169
Sr  0.014  0.494  0.839
Nb  0.510  0.880  0.245
Nb  0.511  0.247  0.880
Nb  0.511  0.957  0.744
Nb  0.513  0.743  0.956
Nb  0.516  0.095  0.456
Nb  0.516  0.456  0.093
Nb  0.518  0.587  0.378
Nb  0.519  0.378  0.588
Nb  0.522  0.664  0.668
Nb  0.530  0.172  0.171
O  0.469  0.507  0.680
O  0.469  0.657  0.826
O  0.470  0.303  0.735
O  0.470  0.605  0.030
O  0.471  0.026  0.604
O  0.471  0.735  0.307
O  0.471  0.806  0.103
O  0.472  0.102  0.807
O  0.473  0.164  0.324
O  0.473  0.324  0.162
O  0.473  0.672  0.512
O  0.473  0.821  0.665
O  0.474  0.162  0.009
O  0.474  0.229  0.537
O  0.474  0.536  0.229
O  0.475  0.010  0.161
O  0.476  0.456  0.457
O  0.476  0.887  0.888
O  0.477  0.396  0.941
O  0.478  0.947  0.389
O  0.975  0.083  0.471
O  0.975  0.369  0.598
O  0.975  0.470  0.081
O  0.975  0.597  0.369
O  0.976  0.748  0.966
O  0.976  0.870  0.248
O  0.976  0.966  0.749
O  0.977  0.250  0.872
O  0.979  0.665  0.669
O  0.980  0.161  0.161

Peak list (8 most intense, 10 to 90 degrees two-theta, in order of falling intensity)
two_theta	I (rel.)	index
31.3	100.0	-1 3 1
29.0	76.7	0 4 1
27.0	69.6	1 1 -2
25.3	43.9	0 2 3
31.5	38.9	0 2 -4
44.6	36.3	2 0 0
29.6	27.2	1 2 2
54.1	26.1	2 -1 4